Record 1
Starting from a DFT-relaxed cell (GGA-PBE, OQMD), the XRD peak list of AlCoSe2Cl2 was simulated for λ = 1.5418 Å (Cu Kα).

Cell and atoms:
Lattice parameters (Å, degrees): 14.856 3.744 7.027 90.00 111.18 90.00
Sites, in units of the cell vectors:
Al  0.000  0.000  0.000
Al  0.500  0.500  0.000
Co  0.357  0.000  0.104
Co  0.857  0.500  0.104
Se  0.030  0.500  0.235
Se  0.323  0.500  0.888
Se  0.530  0.000  0.235
Se  0.823  0.000  0.888
Cl  0.065  0.000  0.778
Cl  0.288  0.000  0.320
Cl  0.565  0.500  0.778
Cl  0.788  0.500  0.320

Top 10 peaks for 2θ = 10–90°, by angle:
2theta  Rel. int.  hkl
12.8  41  2 0 0
13.5  100  0 0 1
14.9  52  2 0 -1
25.7  50  4 0 0
27.0  50  1 1 -1
29.3  56  1 1 1
35.2  25  1 1 -2
38.8  22  6 0 -2
45.9  32  3 1 -3
46.7  26  5 1 1

---

Record 2
Starting from a DFT-relaxed cell (GGA-PBE, OQMD), the XRD peak list of Al2CuCl8 was simulated for λ = 1.5418 Å (Cu Kα).

Cell and atoms:
Lattice parameters (Å, degrees): 6.622 7.408 12.348 90.00 94.24 90.00
Sites, in units of the cell vectors:
Al  0.191  0.236  0.181
Al  0.191  0.264  0.681
Al  0.809  0.736  0.319
Al  0.809  0.764  0.819
Cu  0.000  0.000  0.500
Cu  0.000  0.500  0.000
Cl  0.113  0.745  0.906
Cl  0.113  0.755  0.406
Cl  0.166  0.232  0.850
Cl  0.166  0.268  0.350
Cl  0.301  0.012  0.608
Cl  0.301  0.488  0.108
Cl  0.358  0.011  0.136
Cl  0.358  0.489  0.636
Cl  0.642  0.511  0.364
Cl  0.642  0.989  0.864
Cl  0.699  0.512  0.892
Cl  0.699  0.988  0.392
Cl  0.834  0.732  0.650
Cl  0.834  0.768  0.150
Cl  0.887  0.245  0.594
Cl  0.887  0.255  0.094

Top 10 peaks for 2θ = 10–90°, by angle:
2theta  Rel. int.  hkl
13.4  71  1 0 0
14.0  53  0 1 1
18.0  35  1 1 0
19.0  74  1 0 -2
22.5  32  1 1 -2
24.8  31  0 1 3
30.8  100  1 2 -2
31.7  83  2 0 2
39.7  48  1 2 -4
48.1  45  3 2 0

---

Record 3
Starting from a DFT-relaxed cell (GGA-PBE, OQMD), the XRD peak list of AlCuICl3 was simulated for λ = 1.5418 Å (Cu Kα).

Cell and atoms:
Lattice parameters (Å, degrees): 5.829 6.040 6.409 65.64 63.49 89.94
Sites, in units of the cell vectors:
Al  0.000  0.000  0.000
Cu  0.263  0.767  0.488
I  0.385  0.376  0.740
Cl  0.109  0.690  0.236
Cl  0.649  0.087  0.243
Cl  0.920  0.902  0.745

Top 10 peaks for 2θ = 10–90°, by angle:
2theta  Rel. int.  hkl
17.4  60  1 0 0
17.6  100  0 1 1
21.2  29  1 1 1
26.7  54  1 1 0
27.0  52  1 -1 1
28.2  44  -1 1 1
28.4  46  1 1 2
34.1  20  1 -2 0
43.2  51  2 2 2
47.7  24  2 0 3

---

> What is the formula in the second record?

Al2CuCl8